The following is a theoretical XRD peak list of Cs2TaTe3O12. It was derived from a DFT-relaxed cell (GGA-PBE, Alexandria), using Cu Kα (weighted mean of Kα1 and Kα2).
Neutral-atom scattering factors, no anomalous dispersion.

Main lines, by intensity (2θ = 5–70°):
28.2°, I = 100
29.5°, I = 41
49.1°, I = 38
44.9°, I = 33
24.0°, I = 18
58.3°, I = 18
14.6°, I = 17
57.6°, I = 15
68.8°, I = 13
68.7°, I = 11

Structural model:
```
data_Cs2TaTe3O12
_symmetry_space_group_name_H-M 'P 1'
_symmetry_Int_Tables_number 1
_symmetry_space_group_name_Hall 'P 1'
_cell_length_a 7.4221
_cell_length_b 7.4221
_cell_length_c 7.4221
_cell_angle_alpha 59.93
_cell_angle_beta 59.93
_cell_angle_gamma 59.93
loop_
_atom_site_label
_atom_site_fract_x
_atom_site_fract_y
_atom_site_fract_z
Cs1 0.1271 0.1271 0.1271
Cs2 0.8729 0.8729 0.8729
Ta1 0.5000 0.5000 0.5000
Te1 0.0000 0.5000 0.5000
Te2 0.5000 0.0000 0.5000
Te3 0.5000 0.5000 0.0000
O1 0.1795 0.1795 0.5700
O2 0.1795 0.5700 0.1795
O3 0.1819 0.5655 0.5655
O4 0.4300 0.8205 0.8205
O5 0.4345 0.4345 0.8181
O6 0.4345 0.8181 0.4345
O7 0.5655 0.1819 0.5655
O8 0.5655 0.5655 0.1819
O9 0.5700 0.1795 0.1795
O10 0.8181 0.4345 0.4345
O11 0.8205 0.4300 0.8205
O12 0.8205 0.8205 0.4300
```